Record 1
PmPr2Tm9: computed powder diffractogram (Cu Kα (λ = 1.5418 Å)), based on a DFT-relaxed cell (GGA-PBE, Alexandria).

Atomic structure:
a = 11.2004 Å, b = 11.2004 Å, c = 3.4989 Å
α = 90.00°, β = 90.00°, γ = 120.00°
Atoms (fractional coordinates):
Pm: 0.0000 0.0000 0.0000
Pr: 0.3333 0.6667 0.0000
Pr: 0.6667 0.3333 0.0000
Tm: 0.0000 0.5000 0.0000
Tm: 0.1752 0.3504 0.5000
Tm: 0.1752 0.8248 0.5000
Tm: 0.3504 0.1752 0.5000
Tm: 0.5000 0.0000 0.0000
Tm: 0.5000 0.5000 0.0000
Tm: 0.6496 0.8248 0.5000
Tm: 0.8248 0.1752 0.5000
Tm: 0.8248 0.6496 0.5000

Principal peaks in the range 2θ = 10–80°, in order of falling intensity:
2theta, d_spacing, I (rel.), index
31.96, 2.800, 100, 2 2 0
31.53, 2.838, 58, 2 0 1
62.61, 1.484, 29, 2 2 2
30.12, 2.967, 22, 1 1 1
56.69, 1.624, 21, 4 2 1
45.51, 1.993, 20, 4 0 1
56.96, 1.617, 18, 6 0 0
35.46, 2.531, 17, 2 1 1
37.89, 2.375, 13, 3 0 1
66.82, 1.400, 11, 4 4 0


Record 2
Pm3Pr4Tm2: computed powder diffractogram (Cu Kα (λ = 1.5418 Å)), based on a DFT-relaxed cell (GGA-PBE, Alexandria).

Atomic structure:
a = 3.6393 Å, b = 3.6393 Å, c = 27.1822 Å
α = 90.00°, β = 90.00°, γ = 120.00°
Atoms (fractional coordinates):
Pm: 0.0000 0.0000 0.0000
Pm: 0.0000 0.0000 0.3371
Pm: 0.6667 0.3333 0.6751
Pr: 0.0000 0.0000 0.5638
Pr: 0.0000 0.0000 0.7880
Pr: 0.6667 0.3333 0.2286
Pr: 0.6667 0.3333 0.4502
Tm: 0.6667 0.3333 0.1029
Tm: 0.6667 0.3333 0.8938

Principal peaks in the range 2θ = 10–80°, in order of falling intensity:
2theta, d_spacing, I (rel.), index
32.85, 2.727, 100, 0 1 5
31.28, 2.859, 79, 1 0 4
29.58, 3.020, 55, 0 0 9
28.32, 3.152, 54, 1 0 0
59.29, 1.559, 46, 1 1 9
50.13, 1.820, 42, 1 1 0
41.41, 2.181, 35, 0 1 9
55.60, 1.653, 26, 1 0 14
61.25, 1.513, 18, 2 0 5
34.67, 2.587, 16, 0 1 6


Record 3
PmPr10Tm6: computed powder diffractogram (Cu Kα (λ = 1.5418 Å)), based on a DFT-relaxed cell (GGA-PBE, Alexandria).

Atomic structure:
a = 9.8862 Å, b = 9.8862 Å, c = 6.9374 Å
α = 90.00°, β = 90.00°, γ = 120.00°
Atoms (fractional coordinates):
Pm: 0.0000 0.0000 0.0000
Pr: 0.0000 0.2788 0.3213
Pr: 0.0000 0.7212 0.6787
Pr: 0.2788 0.0000 0.3213
Pr: 0.2788 0.2788 0.6787
Pr: 0.3333 0.6667 0.0000
Pr: 0.3333 0.6667 0.5000
Pr: 0.6667 0.3333 0.0000
Pr: 0.6667 0.3333 0.5000
Pr: 0.7212 0.0000 0.6787
Pr: 0.7212 0.7212 0.3213
Tm: 0.0000 0.3657 0.8184
Tm: 0.0000 0.6343 0.1816
Tm: 0.3657 0.0000 0.8184
Tm: 0.3657 0.3657 0.1816
Tm: 0.6343 0.0000 0.1816
Tm: 0.6343 0.6343 0.8184

Principal peaks in the range 2θ = 10–80°, in order of falling intensity:
2theta, d_spacing, I (rel.), index
31.51, 2.839, 100, 1 1 2
31.34, 2.854, 83, 3 0 0
30.48, 2.933, 34, 3 -1 1
45.04, 2.013, 28, 4 -2 2
55.90, 1.645, 21, 4 1 2
56.21, 1.637, 19, 2 -1 4
48.15, 1.890, 12, 3 2 1
61.80, 1.501, 10, 6 -1 1
24.43, 3.643, 9, 2 0 1
74.67, 1.271, 8, 5 -1 4